Calculated PXRD pattern of Lu2TlZn for Cu Kα X-rays, from DFT lattice parameters and positions (GGA-PBE).
Neutral-atom scattering factors, no anomalous dispersion.

Structure:
Lattice parameters (Å, degrees): 7.2339 7.2339 7.2339 90.00 90.00 90.00
Fractional coordinates of all 16 atoms:
Lu: 0.2500 0.2500 0.2500
Lu: 0.2500 0.2500 0.7500
Lu: 0.2500 0.7500 0.2500
Lu: 0.2500 0.7500 0.7500
Lu: 0.7500 0.2500 0.2500
Lu: 0.7500 0.2500 0.7500
Lu: 0.7500 0.7500 0.2500
Lu: 0.7500 0.7500 0.7500
Tl: 0.0000 0.0000 0.0000
Tl: 0.0000 0.5000 0.5000
Tl: 0.5000 0.0000 0.5000
Tl: 0.5000 0.5000 0.0000
Zn: 0.0000 0.0000 0.5000
Zn: 0.0000 0.5000 0.0000
Zn: 0.5000 0.0000 0.0000
Zn: 0.5000 0.5000 0.5000

Largest 8 diffraction maxima, by intensity, 2θ from 10° to 90°:
two_theta  I_rel  index
35.09  100.0  2 2 0
62.94  37.0  4 2 2
50.46  18.0  4 0 0
84.76  16.4  6 2 0
74.15  11.5  4 4 0
21.27  9.8  1 1 1
41.40  5.5  3 1 1
55.36  2.5  3 3 1